This entry pairs a crystal structure of PmGaTcGe2 with its simulated X-ray diffraction stick pattern. Radiation: Cu Kα X-rays. Structure: DFT lattice parameters and positions (GGA-PBE).

Largest 10 diffraction maxima, by angle, 10 to 80 degrees two-theta:
30.49 deg, rel. 110, (0 0 2); 31.27 deg, rel. 300, (2 0 0); 34.37 deg, rel. 281, (0 1 2); 34.90 deg, rel. 122, (2 0 1); 35.07 deg, rel. 153, (2 1 0); 37.90 deg, rel. 114, (1 1 2); 38.39 deg, rel. 1000, (1 2 1); 44.24 deg, rel. 361, (2 0 2); 60.45 deg, rel. 264, (3 2 1); 65.24 deg, rel. 148, (4 0 0)

Crystal structure
Cell: 5.721 5.719 5.863 Å, 90.00 90.00 90.00°
Space group Pmma (No. 51)
Symmetry-distinct sites (fractional):
Pm 0.250 0.000 0.221 [2 per cell]
Ga 0.250 0.500 0.371 [2 per cell]
Tc 0.000 0.500 0.000 [2 per cell]
Ge 0.250 0.234 0.733 [4 per cell]


This entry pairs a crystal structure of Pr3Ga2Ge2 with its simulated X-ray diffraction stick pattern. Radiation: Cu Kα X-rays. Structure: DFT lattice parameters and positions (GGA-PBE).

Largest 10 diffraction maxima, by angle, 10 to 80 degrees two-theta:
25.80 deg, rel. 115, (1 0 3); 28.43 deg, rel. 116, (0 0 6); 31.01 deg, rel. 1000, (0 1 5); 35.20 deg, rel. 169, (1 1 4); 39.97 deg, rel. 189, (1 0 7); 40.45 deg, rel. 186, (0 2 0); 41.40 deg, rel. 120, (1 1 6); 43.79 deg, rel. 149, (2 0 0); 54.66 deg, rel. 137, (2 1 5); 58.17 deg, rel. 124, (1 2 7)

Crystal structure
Cell: 4.135 4.460 18.839 Å, 90.00 90.00 90.00°
Space group Immm (No. 71)
Symmetry-distinct sites (fractional):
Pr 0.000 0.000 0.000 [2 per cell]
Pr 0.000 0.500 0.316 [4 per cell]
Ga 0.000 0.000 0.435 [4 per cell]
Ge 0.000 0.500 0.146 [4 per cell]


This entry pairs a crystal structure of Pr4GaGe2 with its simulated X-ray diffraction stick pattern. Radiation: Cu Kα X-rays. Structure: DFT lattice parameters and positions (GGA-PBE).

Largest 10 diffraction maxima, by angle, 10 to 80 degrees two-theta:
23.55 deg, rel. 112, (1 1 2); 27.25 deg, rel. 128, (2 0 2); 30.54 deg, rel. 1000, (3 0 1); 36.32 deg, rel. 636, (3 2 1); 48.17 deg, rel. 196, (2 2 4); 50.27 deg, rel. 323, (3 1 4); 61.79 deg, rel. 224, (1 1 6); 63.58 deg, rel. 122, (6 0 2); 65.34 deg, rel. 147, (4 1 5); 75.48 deg, rel. 141, (2 1 7)

Crystal structure
Cell: 9.256 9.256 9.253 Å, 90.00 90.00 90.00°
Space group I-42d (No. 122)
Symmetry-distinct sites (fractional):
Pr 0.069 0.180 0.309 [16 per cell]
Ga 0.000 0.000 0.000 [4 per cell]
Ge 0.127 0.250 0.625 [8 per cell]


This entry pairs a crystal structure of Pr5Ga2Ge5 with its simulated X-ray diffraction stick pattern. Radiation: Cu Kα X-rays. Structure: DFT lattice parameters and positions (GGA-PBE).

Largest 10 diffraction maxima, by angle, 10 to 80 degrees two-theta:
27.82 deg, rel. 207, (3 1 -2); 30.99 deg, rel. 1000, (3 1 0); 31.70 deg, rel. 466, (2 0 -4); 32.78 deg, rel. 213, (1 1 2); 32.89 deg, rel. 428, (1 1 -3); 36.48 deg, rel. 319, (6 0 -2); 39.35 deg, rel. 564, (5 1 -4); 42.64 deg, rel. 337, (0 2 0); 54.09 deg, rel. 204, (2 2 -4); 64.00 deg, rel. 184, (9 1 -2)

Crystal structure
Cell: 15.293 4.241 11.855 Å, 90.00 129.43 90.00°
Space group C2/m (No. 12)
Symmetry-distinct sites (fractional):
Pr 0.000 0.000 0.000 [2 per cell]
Pr 0.130 0.500 0.830 [4 per cell]
Pr 0.182 0.500 0.575 [4 per cell]
Ga 0.119 0.500 0.260 [4 per cell]
Ge 0.000 0.000 0.500 [2 per cell]
Ge 0.061 0.000 0.319 [4 per cell]
Ge 0.207 0.500 0.141 [4 per cell]


This entry pairs a crystal structure of Pr3Ga2Ge2 with its simulated X-ray diffraction stick pattern. Radiation: Cu Kα X-rays. Structure: DFT lattice parameters and positions (GGA-PBE).

Largest 10 diffraction maxima, by angle, 10 to 80 degrees two-theta:
27.10 deg, rel. 235, (1 1 1); 30.75 deg, rel. 1000, (1 1 -2); 31.59 deg, rel. 579, (3 1 -1); 32.13 deg, rel. 373, (4 0 -1); 37.94 deg, rel. 263, (0 0 3); 39.42 deg, rel. 537, (3 1 1); 40.11 deg, rel. 196, (4 0 -3); 41.12 deg, rel. 371, (0 2 0); 61.94 deg, rel. 208, (7 1 -2); 66.04 deg, rel. 217, (1 1 -5)

Crystal structure
Cell: 11.158 4.390 7.777 Å, 90.00 113.82 90.00°
Space group C2/m (No. 12)
Symmetry-distinct sites (fractional):
Pr 0.000 0.000 0.000 [2 per cell]
Pr 0.177 0.000 0.629 [4 per cell]
Ga 0.192 0.500 0.930 [4 per cell]
Ge 0.033 0.500 0.332 [4 per cell]


This entry pairs a crystal structure of Pr4Ga2Ge5 with its simulated X-ray diffraction stick pattern. Radiation: Cu Kα X-rays. Structure: DFT lattice parameters and positions (GGA-PBE).

Largest 10 diffraction maxima, by angle, 10 to 80 degrees two-theta:
24.94 deg, rel. 157, (1 0 2); 32.09 deg, rel. 510, (1 1 -2); 32.30 deg, rel. 1000, (2 1 0); 41.05 deg, rel. 244, (0 2 0); 43.61 deg, rel. 300, (3 0 -2); 44.09 deg, rel. 130, (3 0 2); 55.57 deg, rel. 131, (4 1 0); 61.43 deg, rel. 214, (3 2 -2); 69.30 deg, rel. 113, (2 3 0); 73.04 deg, rel. 115, (1 1 6)

Crystal structure
Cell: 7.139 4.398 8.305 Å, 90.00 90.67 90.00°
Space group P2/m (No. 10)
Symmetry-distinct sites (fractional):
Pr 0.235 0.000 0.129 [2 per cell]
Pr 0.253 0.000 0.624 [2 per cell]
Ga 0.090 0.500 0.374 [2 per cell]
Ge 0.114 0.500 0.880 [2 per cell]
Ge 0.443 0.500 0.347 [2 per cell]
Ge 0.500 0.500 0.000 [1 per cell]


This entry pairs a crystal structure of Pr2GaGe3Rh4 with its simulated X-ray diffraction stick pattern. Radiation: Cu Kα X-rays. Structure: DFT lattice parameters and positions (GGA-PBE).

Largest 10 diffraction maxima, by angle, 10 to 80 degrees two-theta:
29.47 deg, rel. 140, (1 1 0); 33.75 deg, rel. 647, (1 0 3); 34.47 deg, rel. 1000, (1 1 2); 42.17 deg, rel. 655, (2 0 0); 46.69 deg, rel. 182, (1 1 4); 49.70 deg, rel. 260, (1 0 5); 55.07 deg, rel. 316, (2 1 3); 61.16 deg, rel. 214, (2 2 0); 67.17 deg, rel. 208, (2 1 5); 72.13 deg, rel. 226, (3 1 2)

Crystal structure
Cell: 4.286 4.286 10.148 Å, 90.00 90.00 90.00°
Space group P-4m2 (No. 115)
Symmetry-distinct sites (fractional):
Pr 0.000 0.500 0.247 [2 per cell]
Ga 0.500 0.500 0.000 [1 per cell]
Ge 0.000 0.000 0.000 [1 per cell]
Ge 0.000 0.500 0.629 [2 per cell]
Rh 0.000 0.000 0.500 [1 per cell]
Rh 0.000 0.500 0.871 [2 per cell]
Rh 0.500 0.500 0.500 [1 per cell]


This entry pairs a crystal structure of Pr2GaSnGe with its simulated X-ray diffraction stick pattern. Radiation: Cu Kα X-rays. Structure: DFT lattice parameters and positions (GGA-PBE).

Largest 10 diffraction maxima, by angle, 10 to 80 degrees two-theta:
27.85 deg, rel. 150, (0 0 2); 31.47 deg, rel. 1000, (1 2 1); 32.58 deg, rel. 138, (0 3 1); 34.20 deg, rel. 144, (0 2 2); 36.02 deg, rel. 327, (1 1 2); 39.49 deg, rel. 158, (0 4 0); 40.92 deg, rel. 205, (2 0 0); 52.34 deg, rel. 106, (0 3 3); 62.20 deg, rel. 177, (1 5 2); 68.65 deg, rel. 107, (3 2 1)

Crystal structure
Cell: 4.411 9.127 6.407 Å, 90.00 90.00 90.00°
Space group Pmmn (No. 59, origin choice 2)
Symmetry-distinct sites (fractional):
Pr 0.250 0.033 0.244 [4 per cell]
Ga 0.250 0.750 0.548 [2 per cell]
Sn 0.250 0.250 0.733 [2 per cell]
Ge 0.250 0.750 0.942 [2 per cell]


This entry pairs a crystal structure of PrZnGa2Ge with its simulated X-ray diffraction stick pattern. Radiation: Cu Kα X-rays. Structure: DFT lattice parameters and positions (GGA-PBE).

Largest 10 diffraction maxima, by angle, 10 to 80 degrees two-theta:
28.27 deg, rel. 1000, (2 0 0); 31.20 deg, rel. 654, (0 0 4); 32.37 deg, rel. 584, (2 0 2); 32.66 deg, rel. 529, (2 1 1); 37.27 deg, rel. 844, (1 1 4); 39.68 deg, rel. 309, (2 1 3); 40.40 deg, rel. 512, (2 2 0); 42.60 deg, rel. 345, (2 0 4); 45.42 deg, rel. 404, (3 1 0); 56.13 deg, rel. 632, (3 1 4)

Crystal structure
Cell: 6.315 6.315 11.468 Å, 90.00 90.00 90.00°
Space group I4cm (No. 108)
Symmetry-distinct sites (fractional):
Pr 0.000 0.000 0.000 [4 per cell]
Zn 0.000 0.000 0.248 [4 per cell]
Ga 0.143 0.357 0.293 [8 per cell]
Ge 0.000 0.500 0.071 [4 per cell]


This entry pairs a crystal structure of GaGePt6 with its simulated X-ray diffraction stick pattern. Radiation: Cu Kα X-rays. Structure: DFT lattice parameters and positions (GGA-PBE).

Largest 10 diffraction maxima, by angle, 10 to 80 degrees two-theta:
31.86 deg, rel. 124, (1 1 2); 37.90 deg, rel. 297, (2 1 1); 39.43 deg, rel. 1000, (2 0 2); 45.13 deg, rel. 214, (0 0 4); 46.21 deg, rel. 260, (2 2 0); 50.07 deg, rel. 135, (2 1 3); 66.58 deg, rel. 175, (2 2 4); 70.90 deg, rel. 129, (4 1 1); 79.44 deg, rel. 131, (2 0 6); 79.63 deg, rel. 94, (4 1 3)

Crystal structure
Cell: 5.557 5.557 8.035 Å, 90.00 90.00 90.00°
Space group I-42m (No. 121)
Symmetry-distinct sites (fractional):
Ga 0.000 0.000 0.000 [2 per cell]
Ge 0.000 0.000 0.500 [2 per cell]
Pt 0.000 0.500 0.000 [4 per cell]
Pt 0.201 0.201 0.746 [8 per cell]


This entry pairs a crystal structure of Pu4GaGe2Pt with its simulated X-ray diffraction stick pattern. Radiation: Cu Kα X-rays. Structure: DFT lattice parameters and positions (GGA-PBE).

Largest 10 diffraction maxima, by angle, 10 to 80 degrees two-theta:
24.95 deg, rel. 344, (1 0 4); 35.45 deg, rel. 1000, (1 1 0); 35.69 deg, rel. 935, (0 1 8); 43.84 deg, rel. 82, (0 2 4); 51.19 deg, rel. 341, (2 0 8); 63.65 deg, rel. 188, (3 0 0); 63.80 deg, rel. 355, (1 2 8); 64.28 deg, rel. 149, (1 0 16); 75.02 deg, rel. 117, (2 2 0); 75.60 deg, rel. 94, (0 2 16)

Crystal structure
Cell: 5.0645 5.0645 24.5672 Å, 90.00 90.00 120.00°
Space group R-3m (No. 166, hexagonal axes)
Symmetry-distinct sites (fractional):
Pu 0.0000 0.0000 0.1204 [6 per cell]
Pu 0.0000 0.0000 0.3698 [6 per cell]
Ga 0.0000 0.0000 0.5000 [3 per cell]
Ge 0.0000 0.0000 0.2454 [6 per cell]
Pt 0.0000 0.0000 0.0000 [3 per cell]


This entry pairs a crystal structure of Sm2Ga4Ge2Pt with its simulated X-ray diffraction stick pattern. Radiation: Cu Kα X-rays. Structure: DFT lattice parameters and positions (GGA-PBE).

Largest 10 diffraction maxima, by angle, 10 to 80 degrees two-theta:
27.87 deg, rel. 897, (1 1 2); 28.86 deg, rel. 446, (2 0 0); 33.77 deg, rel. 425, (2 1 1); 34.72 deg, rel. 1000, (2 0 2); 38.32 deg, rel. 593, (0 0 4); 41.27 deg, rel. 903, (2 2 0); 43.65 deg, rel. 434, (2 1 3); 57.58 deg, rel. 623, (2 2 4); 59.79 deg, rel. 260, (4 0 0); 73.28 deg, rel. 260, (4 0 4)

Crystal structure
Cell: 6.187 6.187 9.397 Å, 90.00 90.00 90.00°
Space group I4/mmm (No. 139)
Symmetry-distinct sites (fractional):
Sm 0.000 0.500 0.250 [4 per cell]
Ga 0.212 0.212 0.000 [8 per cell]
Ge 0.000 0.000 0.223 [4 per cell]
Pt 0.000 0.000 0.500 [2 per cell]


This entry pairs a crystal structure of Tm2Ga3GePt4 with its simulated X-ray diffraction stick pattern. Radiation: Cu Kα X-rays. Structure: DFT lattice parameters and positions (GGA-PBE).

Largest 10 diffraction maxima, by angle, 10 to 80 degrees two-theta:
32.03 deg, rel. 195, (1 1 1); 32.78 deg, rel. 432, (1 0 3); 35.07 deg, rel. 1000, (1 1 2); 44.35 deg, rel. 540, (2 0 0); 45.48 deg, rel. 241, (1 1 4); 46.81 deg, rel. 334, (1 0 5); 56.23 deg, rel. 187, (2 1 3); 64.52 deg, rel. 177, (2 2 0); 66.45 deg, rel. 235, (2 1 5); 75.61 deg, rel. 217, (3 1 2)

Crystal structure
Cell: 4.085 4.085 11.028 Å, 90.00 90.00 90.00°
Space group P-4m2 (No. 115)
Symmetry-distinct sites (fractional):
Tm 0.000 0.500 0.247 [2 per cell]
Ga 0.000 0.000 0.000 [1 per cell]
Ga 0.000 0.500 0.636 [2 per cell]
Ge 0.500 0.500 0.000 [1 per cell]
Pt 0.000 0.000 0.500 [1 per cell]
Pt 0.000 0.500 0.857 [2 per cell]
Pt 0.500 0.500 0.500 [1 per cell]


This entry pairs a crystal structure of Pu12GaGe6 with its simulated X-ray diffraction stick pattern. Radiation: Cu Kα X-rays. Structure: DFT lattice parameters and positions (GGA-PBE).

Largest 10 diffraction maxima, by angle, 10 to 80 degrees two-theta:
11.88 deg, rel. 632, (1 0 1); 16.74 deg, rel. 402, (1 1 0); 26.64 deg, rel. 289, (3 -1 1); 26.90 deg, rel. 381, (1 1 3); 29.32 deg, rel. 1000, (3 -2 2); 33.84 deg, rel. 285, (2 2 0); 35.99 deg, rel. 334, (1 3 1); 38.36 deg, rel. 857, (3 -1 4); 40.12 deg, rel. 913, (4 -2 3); 50.23 deg, rel. 408, (0 5 1)

Crystal structure
Cell: 10.5947 10.5947 12.7450 Å, 90.00 90.00 120.00°
Space group R-3 (No. 148, hexagonal axes)
Symmetry-distinct sites (fractional):
Pu 0.0149 0.2104 0.4634 [18 per cell]
Pu 0.0222 0.3962 0.5825 [18 per cell]
Ga 0.0000 0.0000 0.0000 [3 per cell]
Ge 0.0185 0.8600 0.2818 [18 per cell]